BaSmP2O8: calculated X-ray powder pattern (Cu Kα (λ = 1.5418 Å)), based on DFT lattice parameters and positions (PBE).

Structural model:
```
12
Lattice="5.487 0.000 0.000 -2.743 4.752 0.000 0.000 0.000 7.870" Properties=species:S:1:pos:R:3 pbc="T T T"
Ba 0.000 0.000 0.000
Sm 0.000 0.000 3.935
P 0.000 3.168 6.003
P 2.743 1.584 1.867
O 0.000 1.707 5.489
O -1.265 3.898 5.489
O 0.000 3.168 7.551
O 1.479 0.854 2.381
O 1.265 3.898 5.489
O 2.743 1.584 0.319
O 4.008 0.854 2.381
O 2.743 3.044 2.381
```

Peak list (6 most intense, 10 to 80 degrees two-theta, low angle first)
index, d (Å), Position (°2θ), I (rel.)
1 0 0, 4.752, 18.67, 100
0 1 1, 4.068, 21.85, 29
1 0 2, 3.031, 29.47, 99
1 1 0, 2.743, 32.64, 53
1 1 2, 2.250, 40.07, 38
0 2 2, 2.034, 44.55, 43